Record 1
This entry pairs a crystal structure of SnBi2As2Pd7 with its calculated XRD peak list. Radiation: λ = 1.5418 Å (Cu Kα). Structure: a cell relaxed with PBE.

Peak list (12 most intense, 10° ≤ 2θ ≤ 90°, in order of falling intensity)
44.9°, intensity 100; 31.2°, intensity 71; 34.8°, intensity 62; 35.3°, intensity 56; 36.5°, intensity 55; 44.7°, intensity 52; 31.8°, intensity 46; 42.9°, intensity 34; 12.3°, intensity 30; 66.8°, intensity 28; 24.8°, intensity 28; 44.2°, intensity 26

Structure:
```
SnBi2As2Pd7
1.0
2.860 -2.867 0.000
2.860 2.867 0.000
-1.706 0.000 14.357
Sn Bi As Pd
1 2 2 7
Direct
0.000 0.000 0.000
0.126 0.126 0.399
0.874 0.874 0.601
0.427 0.427 0.755
0.573 0.573 0.245
0.043 0.543 0.143
0.366 0.366 0.581
0.457 0.957 0.857
0.500 0.500 0.000
0.543 0.043 0.143
0.634 0.634 0.419
0.957 0.457 0.857
```

Record 2
This entry pairs a crystal structure of Pm5Bi4As with its calculated XRD peak list. Radiation: λ = 1.5418 Å (Cu Kα). Structure: a cell relaxed with PBE.

Peak list (12 most intense, 10° ≤ 2θ ≤ 90°, in order of falling intensity)
27.9°, intensity 100; 39.9°, intensity 77; 49.4°, intensity 28; 65.3°, intensity 25; 72.5°, intensity 18; 65.4°, intensity 11; 57.7°, intensity 9; 72.6°, intensity 8; 86.2°, intensity 5; 57.8°, intensity 4; 86.0°, intensity 3; 32.1°, intensity 2

Structure:
```
Pm5Bi4As
1.0
-2.260 2.260 15.940
2.260 -2.260 15.940
2.260 2.260 -15.940
Pm Bi As
5 4 1
Direct
0.000 0.000 0.000
0.200 0.200 0.000
0.407 0.407 0.000
0.593 0.593 0.000
0.800 0.800 0.000
0.099 0.099 0.000
0.302 0.302 0.000
0.698 0.698 0.000
0.901 0.901 0.000
0.500 0.500 0.000
```

Record 3
This entry pairs a crystal structure of PmBiAs2Rh5 with its calculated XRD peak list. Radiation: λ = 1.5418 Å (Cu Kα). Structure: a cell relaxed with PBE.

Peak list (12 most intense, 10° ≤ 2θ ≤ 90°, in order of falling intensity)
27.2°, intensity 100; 35.1°, intensity 99; 44.2°, intensity 96; 45.6°, intensity 94; 39.8°, intensity 53; 23.2°, intensity 38; 32.0°, intensity 36; 82.4°, intensity 34; 52.7°, intensity 33; 69.0°, intensity 33; 24.4°, intensity 32; 64.3°, intensity 31

Structure:
```
PmBiAs2Rh5
1.0
4.096 0.000 0.000
0.000 4.096 0.000
0.000 0.000 10.933
Pm Bi As Rh
1 1 2 5
Direct
0.000 0.000 0.000
0.000 0.000 0.500
0.500 0.500 0.217
0.500 0.500 0.783
0.000 0.500 0.332
0.000 0.500 0.668
0.500 0.000 0.332
0.500 0.000 0.668
0.500 0.500 0.000
```

Record 4
This entry pairs a crystal structure of Pm4BiSbAs2 with its calculated XRD peak list. Radiation: λ = 1.5418 Å (Cu Kα). Structure: a cell relaxed with PBE.

Peak list (12 most intense, 10° ≤ 2θ ≤ 90°, in order of falling intensity)
28.8°, intensity 100; 41.4°, intensity 38; 41.0°, intensity 37; 51.2°, intensity 20; 67.8°, intensity 17; 67.3°, intensity 16; 75.2°, intensity 12; 59.6°, intensity 12; 75.4°, intensity 7; 50.5°, intensity 6; 23.9°, intensity 6; 31.4°, intensity 6

Structure:
```
Pm4BiSbAs2
1.0
7.562 0.000 0.000
0.000 4.366 0.000
-2.516 0.000 7.226
Pm Bi Sb As
4 1 1 2
Direct
0.241 0.000 0.230
0.254 0.500 0.768
0.746 0.500 0.232
0.759 0.000 0.770
0.500 0.500 0.500
0.000 0.000 0.500
0.000 0.500 0.000
0.500 0.000 0.000
```

- What is the formula in the third record?
  PmBiAs2Rh5